This entry pairs a crystal structure of K2LiAuCl6 with its theoretical X-ray powder pattern. Radiation: a wavelength of 1.5418 Å. Structure: the PBE geometry in the Materials Project.

Largest 12 diffraction maxima, low angle first, 15 to 90 degrees two-theta:
15.16°, I = 100; 17.53°, I = 56; 24.89°, I = 58; 29.27°, I = 64; 35.48°, I = 65; 38.79°, I = 30; 39.84°, I = 29; 43.83°, I = 27; 46.64°, I = 25; 51.06°, I = 42; 53.58°, I = 25; 85.91°, I = 19

Structure:
Cell lengths 7.155, 7.155, 7.155 Å; angles 60.00, 60.00, 60.00 degrees
Fractional coordinates of all 10 atoms:
K 0.250 0.250 0.250
K 0.750 0.750 0.750
Li 0.000 0.000 0.000
Au 0.500 0.500 0.500
Cl 0.251 0.251 0.749
Cl 0.251 0.749 0.251
Cl 0.251 0.749 0.749
Cl 0.749 0.251 0.251
Cl 0.749 0.251 0.749
Cl 0.749 0.749 0.251